Calculated X-ray powder pattern of HgAsClF6 for CuKα, from a structure optimized by DFT (PBE).
No peak broadening, texture or thermal motion is included.

Cell and atoms:
Cell: 4.594 5.593 6.131 Å, 91.76 96.74 100.60°
Space group P1 (No. 1)
Inequivalent atoms, fractional coordinates:
1 Hg 0.000 0.000 0.000 [1 per cell]
2 As 0.018 0.423 0.581 [1 per cell]
3 Cl 0.500 0.898 0.115 [1 per cell]
4 F 0.179 0.243 0.403 [1 per cell]
5 F 0.260 0.345 0.815 [1 per cell]
6 F 0.282 0.684 0.553 [1 per cell]
7 F 0.763 0.155 0.635 [1 per cell]
8 F 0.776 0.489 0.359 [1 per cell]
9 F 0.855 0.590 0.772 [1 per cell]

Main lines, by angle (2θ from 10° to 90°):
2θ/deg	intensity
14.57	34
19.82	88
21.21	89
22.39	100
26.55	49
28.32	32
30.04	31
41.73	30

---

Calculated X-ray powder pattern of Ce2MgHg6 for CuKα, from a structure optimized by DFT (PBE).
No peak broadening, texture or thermal motion is included.

Cell and atoms:
Cell: 7.345 13.247 4.705 Å, 90.00 90.00 90.00°
Space group Cmmm (No. 65)
Inequivalent atoms, fractional coordinates:
1 Ce 0.000 0.218 0.000 [4 per cell]
2 Mg 0.000 0.000 0.500 [2 per cell]
3 Hg 0.198 0.360 0.500 [8 per cell]
4 Hg 0.236 0.500 0.000 [4 per cell]

Main lines, by angle (2θ from 10° to 90°):
2θ/deg	intensity
24.23	33
27.77	23
30.31	29
30.89	17
33.08	100
33.79	69
38.26	45
41.43	43

---

Calculated X-ray powder pattern of La2CoAu for CuKα, from a structure optimized by DFT (PBE).
No peak broadening, texture or thermal motion is included.

Cell and atoms:
Cell: 4.141 4.514 5.755 Å, 90.00 111.01 90.00°
Space group Pm (No. 6)
Inequivalent atoms, fractional coordinates:
1 La 0.000 0.000 0.000 [1 per cell]
2 La 0.295 0.500 0.589 [1 per cell]
3 Co 0.771 0.000 0.538 [1 per cell]
4 Au 0.585 0.500 0.170 [1 per cell]

Main lines, by angle (2θ from 10° to 90°):
2θ/deg	intensity
30.45	100
33.07	31
33.36	18
38.77	48
39.02	24
39.95	26
43.72	20
52.79	17

---

Calculated X-ray powder pattern of BaZnMo2 for CuKα, from a structure optimized by DFT (PBE).
No peak broadening, texture or thermal motion is included.

Cell and atoms:
Cell: 3.314 3.314 8.000 Å, 90.00 90.00 90.00°
Space group P4mm (No. 99)
Inequivalent atoms, fractional coordinates:
1 Ba 0.000 0.000 0.000 [1 per cell]
2 Zn 0.500 0.500 0.676 [1 per cell]
3 Mo 0.000 0.000 0.485 [1 per cell]
4 Mo 0.500 0.500 0.333 [1 per cell]

Main lines, by angle (2θ from 10° to 90°):
2θ/deg	intensity
22.23	16
29.17	21
35.17	100
38.42	61
53.52	25
55.46	20
67.39	29
80.71	15

---

Calculated X-ray powder pattern of Sr2MgTl4 for CuKα, from a structure optimized by DFT (PBE).
No peak broadening, texture or thermal motion is included.

Cell and atoms:
Cell: 5.385 5.385 17.473 Å, 90.00 90.00 90.00°
Space group I4/mmm (No. 139)
Inequivalent atoms, fractional coordinates:
1 Sr 0.000 0.000 0.139 [4 per cell]
2 Mg 0.000 0.000 0.500 [2 per cell]
3 Tl 0.000 0.000 0.332 [4 per cell]
4 Tl 0.000 0.500 0.000 [4 per cell]

Main lines, by angle (2θ from 10° to 90°):
2θ/deg	intensity
25.52	100
30.70	35
31.16	85
33.28	69
45.90	47
47.78	25
54.94	25
58.13	42

---

Calculated X-ray powder pattern of GeS6F2 for CuKα, from a structure optimized by DFT (PBE).
No peak broadening, texture or thermal motion is included.

Cell and atoms:
Cell: 9.535 11.217 3.711 Å, 90.00 92.18 90.00°
Space group C2/m (No. 12)
Inequivalent atoms, fractional coordinates:
1 Ge 0.000 0.000 0.000 [2 per cell]
2 S 0.098 0.353 0.893 [8 per cell]
3 S 0.194 0.500 0.146 [4 per cell]
4 F 0.000 0.116 0.500 [4 per cell]

Main lines, by angle (2θ from 10° to 90°):
2θ/deg	intensity
15.80	74
18.62	48
24.00	74
25.59	64
29.22	92
35.62	100
37.44	39
54.98	27

---

Calculated X-ray powder pattern of Pm4Ni13B4 for CuKα, from a structure optimized by DFT (PBE).
No peak broadening, texture or thermal motion is included.

Cell and atoms:
Cell: 12.133 12.238 3.946 Å, 90.00 90.00 90.00°
Space group Cmmm (No. 65)
Inequivalent atoms, fractional coordinates:
1 Pm 0.000 0.192 0.000 [4 per cell]
2 Pm 0.154 0.500 0.000 [4 per cell]
3 Ni 0.000 0.000 0.500 [2 per cell]
4 Ni 0.107 0.316 0.500 [8 per cell]
5 Ni 0.121 0.000 0.000 [4 per cell]
6 Ni 0.179 0.106 0.500 [8 per cell]
7 Ni 0.250 0.250 0.000 [4 per cell]
8 B 0.000 0.435 0.500 [4 per cell]
9 B 0.250 0.250 0.500 [4 per cell]

Main lines, by angle (2θ from 10° to 90°):
2θ/deg	intensity
32.42	66
32.54	37
32.96	26
37.19	45
40.30	100
43.20	41
46.00	44
64.94	25